Diffraction record for DyTm2MoO8. The X-ray powder pattern is theoretical, not measured: it uses DFT lattice parameters and positions (GGA+U) and Cu Kα.
Kinematic intensities with the Lorentz-polarization factor, no thermal factor.

Most intense lines, 2θ = 10–80°, most intense first:
2θ (°)  intensity  (hkl)
32.01  100  1 1 2
25.05  59  0 2 0
25.35  55  2 0 0
48.71  40  1 3 2
49.05  38  3 1 2
35.94  29  2 2 0
62.14  22  3 3 2
66.93  11  2 2 4
60.79  10  0 2 4
58.61  10  4 2 0

Structural model:
```
data_DyTm2MoO8
_chemical_formula_sum 'Dy2 Tm4 Mo2 O16'
_cell_length_a 7.027
_cell_length_b 7.110
_cell_length_c 6.746
_cell_angle_alpha 90.00
_cell_angle_beta 90.00
_cell_angle_gamma 90.00
_space_group_name_H-M_alt 'C m m m'
_space_group_IT_number 65
_space_group_name_Hall '-C 2 2'
loop_
_atom_site_label
_atom_site_type_symbol
_atom_site_fract_x
_atom_site_fract_y
_atom_site_fract_z
_atom_site_occupancy
Dy1 Dy 0.000 0.000 0.000 1
Tm1 Tm 0.000 0.500 0.252 1
Mo1 Mo 0.000 0.000 0.500 1
O1 O 0.000 0.185 0.287 1
O2 O 0.190 0.500 0.000 1
O3 O 0.222 0.500 0.500 1
```